Record 1
RbTl: computed powder diffractogram (Cu Kα X-rays), based on the PBE geometry in Alexandria.
Lines closer than 0.1° are merged.

Main lines, sorted by position (10 to 90 degrees two-theta):
- 23.3 deg, I 100.0
- 25.3 deg, I 33.5
- 28.4 deg, I 58.8
- 32.2 deg, I 37.3
- 34.7 deg, I 62.4
- 39.2 deg, I 38.1

abc: 14.0629 14.0629 3.9749
angles: 90.00 90.00 90.00
Fractional coordinates of all 16 atoms:
1 Rb 0.1360 0.6639 0.0000
2 Rb 0.1639 0.3640 0.5000
3 Rb 0.3361 0.1360 0.0000
4 Rb 0.3640 0.8361 0.5000
5 Rb 0.6360 0.1639 0.5000
6 Rb 0.6639 0.8640 0.0000
7 Rb 0.8361 0.6360 0.5000
8 Rb 0.8640 0.3361 0.0000
9 Tl 0.0585 0.1430 0.0000
10 Tl 0.1430 0.9415 0.0000
11 Tl 0.3570 0.5585 0.5000
12 Tl 0.4415 0.3570 0.5000
13 Tl 0.5585 0.6430 0.5000
14 Tl 0.6430 0.4415 0.5000
15 Tl 0.8570 0.0585 0.0000
16 Tl 0.9415 0.8570 0.0000

=====

Record 2
Rb2Tl17: computed powder diffractogram (Cu Kα X-rays), based on the PBE geometry in Alexandria.
Lines closer than 0.1° are merged.

Main lines, sorted by position (10 to 90 degrees two-theta):
- 15.5 deg, I 19.6
- 27.5 deg, I 17.9
- 31.3 deg, I 100.0
- 31.7 deg, I 26.4
- 35.1 deg, I 82.4
- 55.6 deg, I 26.3

abc: 8.7434 8.7434 8.7434
angles: 81.77 81.77 81.77
Fractional coordinates of all 19 atoms:
1 Rb 0.1628 0.1628 0.1628
2 Rb 0.8372 0.8372 0.8372
3 Tl 0.0000 0.5000 0.5000
4 Tl 0.1419 0.1419 0.6480
5 Tl 0.1419 0.6480 0.1419
6 Tl 0.2079 0.5000 0.7921
7 Tl 0.2079 0.7921 0.5000
8 Tl 0.3520 0.8581 0.8581
9 Tl 0.4019 0.4019 0.4019
10 Tl 0.5000 0.0000 0.5000
11 Tl 0.5000 0.2079 0.7921
12 Tl 0.5000 0.5000 0.0000
13 Tl 0.5000 0.7921 0.2079
14 Tl 0.5981 0.5981 0.5981
15 Tl 0.6480 0.1419 0.1419
16 Tl 0.7921 0.2079 0.5000
17 Tl 0.7921 0.5000 0.2079
18 Tl 0.8581 0.3520 0.8581
19 Tl 0.8581 0.8581 0.3520

=====

Record 3
RbTl5: computed powder diffractogram (Cu Kα X-rays), based on the PBE geometry in Alexandria.
Lines closer than 0.1° are merged.

Main lines, sorted by position (10 to 90 degrees two-theta):
- 10.6 deg, I 70.2
- 27.8 deg, I 97.7
- 31.9 deg, I 100.0
- 36.0 deg, I 37.3
- 36.3 deg, I 32.3
- 37.3 deg, I 28.5

abc: 10.4147 4.9942 8.5655
angles: 90.00 102.10 90.00
Fractional coordinates of all 12 atoms:
1 Rb 0.0000 0.0000 0.0000
2 Rb 0.5000 0.5000 0.0000
3 Tl 0.0000 0.0000 0.5000
4 Tl 0.1478 0.5000 0.7414
5 Tl 0.1737 0.5000 0.3446
6 Tl 0.3262 0.0000 0.6554
7 Tl 0.3522 0.0000 0.2586
8 Tl 0.5000 0.5000 0.5000
9 Tl 0.6478 0.0000 0.7414
10 Tl 0.6738 0.0000 0.3446
11 Tl 0.8262 0.5000 0.6554
12 Tl 0.8522 0.5000 0.2586

=====

Record 4
RbTl7: computed powder diffractogram (Cu Kα X-rays), based on the PBE geometry in Alexandria.
Lines closer than 0.1° are merged.

Main lines, sorted by position (10 to 90 degrees two-theta):
- 11.8 deg, I 67.4
- 27.6 deg, I 93.8
- 27.9 deg, I 54.0
- 34.1 deg, I 100.0
- 34.5 deg, I 98.3
- 37.5 deg, I 62.6

abc: 13.5762 9.2884 4.7961
angles: 90.00 110.12 90.00
Fractional coordinates of all 16 atoms:
1 Rb 0.0000 0.0000 0.0000
2 Rb 0.5000 0.5000 0.0000
3 Tl 0.0000 0.5000 0.0000
4 Tl 0.1340 0.3119 0.6336
5 Tl 0.1340 0.6881 0.6336
6 Tl 0.2425 0.0000 0.7445
7 Tl 0.2575 0.5000 0.2555
8 Tl 0.3660 0.1881 0.3664
9 Tl 0.3660 0.8119 0.3664
10 Tl 0.5000 0.0000 0.0000
11 Tl 0.6340 0.1881 0.6336
12 Tl 0.6340 0.8119 0.6336
13 Tl 0.7425 0.5000 0.7445
14 Tl 0.7575 0.0000 0.2555
15 Tl 0.8660 0.3119 0.3664
16 Tl 0.8660 0.6881 0.3664

=====

Record 5
Rb5Tl9: computed powder diffractogram (Cu Kα X-rays), based on the PBE geometry in Alexandria.
Lines closer than 0.1° are merged.

Main lines, sorted by position (10 to 90 degrees two-theta):
- 10.8 deg, I 100.0
- 29.3 deg, I 48.4
- 29.8 deg, I 55.4
- 30.0 deg, I 81.2
- 34.3 deg, I 42.7
- 35.5 deg, I 30.9

abc: 10.5696 10.5696 18.0502
angles: 90.00 90.00 120.00
Fractional coordinates of all 42 atoms:
1 Rb 0.0000 0.0000 0.0000
2 Rb 0.0000 0.2707 0.1854
3 Rb 0.0000 0.2707 0.8146
4 Rb 0.0000 0.6126 0.3157
5 Rb 0.0000 0.6126 0.6843
6 Rb 0.2707 0.0000 0.1854
7 Rb 0.2707 0.0000 0.8146
8 Rb 0.3333 0.6667 0.5000
9 Rb 0.3874 0.3874 0.3157
10 Rb 0.3874 0.3874 0.6843
11 Rb 0.6126 0.0000 0.3157
12 Rb 0.6126 0.0000 0.6843
13 Rb 0.6667 0.3333 0.5000
14 Rb 0.7293 0.7293 0.1854
15 Rb 0.7293 0.7293 0.8146
16 Tl 0.0000 0.0000 0.3508
17 Tl 0.0000 0.0000 0.6492
18 Tl 0.0000 0.2854 0.4085
19 Tl 0.0000 0.2854 0.5915
20 Tl 0.0000 0.6183 0.1017
21 Tl 0.0000 0.6183 0.8983
22 Tl 0.0000 0.7861 0.5000
23 Tl 0.1736 0.4626 0.0000
24 Tl 0.2139 0.2139 0.5000
25 Tl 0.2854 0.0000 0.4085
26 Tl 0.2854 0.0000 0.5915
27 Tl 0.2890 0.8264 0.0000
28 Tl 0.3333 0.6667 0.1567
29 Tl 0.3333 0.6667 0.8433
30 Tl 0.3817 0.3817 0.1017
31 Tl 0.3817 0.3817 0.8983
32 Tl 0.4626 0.1736 0.0000
33 Tl 0.5374 0.7110 0.0000
34 Tl 0.6183 0.0000 0.1017
35 Tl 0.6183 0.0000 0.8983
36 Tl 0.6667 0.3333 0.1567
37 Tl 0.6667 0.3333 0.8433
38 Tl 0.7110 0.5374 0.0000
39 Tl 0.7146 0.7146 0.4085
40 Tl 0.7146 0.7146 0.5915
41 Tl 0.7861 0.0000 0.5000
42 Tl 0.8264 0.2890 0.0000

=====

Record 6
RbTl3: computed powder diffractogram (Cu Kα X-rays), based on the PBE geometry in Alexandria.
Lines closer than 0.1° are merged.

Main lines, sorted by position (10 to 90 degrees two-theta):
- 10.8 deg, I 61.0
- 27.6 deg, I 100.0
- 32.6 deg, I 92.8
- 34.2 deg, I 37.3
- 37.1 deg, I 26.1
- 37.8 deg, I 24.5

abc: 5.2365 7.0227 8.2131
angles: 90.00 90.00 90.00
Fractional coordinates of all 8 atoms:
1 Rb 0.2500 0.2500 0.0913
2 Rb 0.7500 0.7500 0.9087
3 Tl 0.2500 0.5075 0.6134
4 Tl 0.2500 0.7500 0.2511
5 Tl 0.2500 0.9925 0.6134
6 Tl 0.7500 0.0075 0.3866
7 Tl 0.7500 0.2500 0.7489
8 Tl 0.7500 0.4925 0.3866